This entry pairs a crystal structure of Li7Mn4CoO12 with its theoretical XRD peak list. Radiation: Cu Kα, 1.54184 Å. Structure: a crystal structure in the Materials Project, relaxed with PBE+U.

The 12 most intense peaks (2θ = 10–90°), by angle:
d/Å, I/Imax, (hkl)
5.788, 90, 0 1 0
4.822, 1000, 1 0 -1
2.593, 165, 1 -2 1
2.485, 131, 1 2 0
2.466, 120, 1 0 2
2.165, 332, 2 -2 0
2.058, 285, 2 2 -1
2.039, 285, 0 0 3
1.496, 84, 0 4 -1
1.487, 160, 2 -2 3
1.482, 78, -2 2 3
1.440, 75, 2 2 2

Structural model:
Lattice parameters (Å, degrees): 5.9586 5.9904 6.4772 103.27 102.94 92.89
Atoms (fractional coordinates):
Li 0.0000 0.0000 0.0000
Li 0.0013 0.4883 0.9989
Li 0.3349 0.3299 0.3317
Li 0.3375 0.8263 0.3328
Li 0.6715 0.1643 0.6555
Li 0.6743 0.6499 0.6551
Li 0.8377 0.3269 0.3286
Mn 0.1616 0.1674 0.6611
Mn 0.5086 0.9924 0.9979
Mn 0.5108 0.4860 0.9960
Mn 0.8381 0.8256 0.3307
Co 0.1641 0.6606 0.6600
O 0.0690 0.6045 0.3494
O 0.0817 0.0676 0.3478
O 0.2482 0.2512 0.9824
O 0.2754 0.7367 0.9777
O 0.3906 0.9120 0.6747
O 0.4219 0.3993 0.6746
O 0.5924 0.5839 0.3109
O 0.6063 0.0465 0.3143
O 0.7281 0.2369 0.9933
O 0.7640 0.7315 0.0126
O 0.9130 0.9233 0.6467
O 0.9499 0.4168 0.6617